Record 1
Simulated powder diffraction line list
Compound: Be2CuRh
Radiation: Cu Kα X-rays
Structure: the PBE geometry in the Materials Project
Neutral-atom scattering factors, no anomalous dispersion.

Peak list (6 most intense, 5° ≤ 2θ ≤ 70°, in order of falling intensity)
2θ/deg	I (rel.)
32.6	100.0
46.8	93.7
58.2	24.3
68.3	14.4
28.1	9.9
55.5	4.7

Structure:
```
Be2CuRh
1.0
0.0000 2.7466 2.7466
2.7466 0.0000 2.7466
2.7466 2.7466 0.0000
Be Cu Rh
2 1 1
direct
0.2500 0.2500 0.2500 Be
0.7500 0.7500 0.7500 Be
0.0000 0.0000 0.0000 Cu
0.5000 0.5000 0.5000 Rh
```

***

Record 2
Simulated powder diffraction line list
Compound: Be2CuRu
Radiation: Cu Kα X-rays
Structure: the PBE geometry in the Materials Project
Neutral-atom scattering factors, no anomalous dispersion.

Peak list (6 most intense, 5° ≤ 2θ ≤ 70°, in order of falling intensity)
2θ/deg	I (rel.)
32.8	100.0
47.1	93.7
58.6	24.1
68.8	14.3
28.3	8.8
55.8	4.2

Structure:
```
Be2CuRu
1.0
0.0000 2.7299 2.7299
2.7299 0.0000 2.7299
2.7299 2.7299 0.0000
Be Cu Ru
2 1 1
direct
0.2500 0.2500 0.2500 Be
0.7500 0.7500 0.7500 Be
0.0000 0.0000 0.0000 Cu
0.5000 0.5000 0.5000 Ru
```

***

Record 3
Simulated powder diffraction line list
Compound: Be4CuSi
Radiation: Cu Kα X-rays
Structure: the PBE geometry in the Materials Project
Neutral-atom scattering factors, no anomalous dispersion.

Peak list (8 most intense, 5° ≤ 2θ ≤ 70°, in order of falling intensity)
2θ/deg	I (rel.)
25.2	100.0
41.8	92.3
49.4	84.8
29.2	21.2
66.6	17.8
60.5	8.2
51.8	7.3
68.6	6.2

Structure:
```
Be4CuSi
1.0
0.0000 3.0593 3.0593
3.0593 0.0000 3.0593
3.0593 3.0593 0.0000
Be Cu Si
4 1 1
direct
0.1250 0.1250 0.1250 Be
0.1250 0.1250 0.6251 Be
0.1250 0.6251 0.1250 Be
0.6251 0.1250 0.1250 Be
0.5000 0.5000 0.5000 Cu
0.7500 0.7500 0.7500 Si
```

***

Record 4
Simulated powder diffraction line list
Compound: SmBeCu4
Radiation: Cu Kα X-rays
Structure: the PBE geometry in the Materials Project
Neutral-atom scattering factors, no anomalous dispersion.

Peak list (8 most intense, 5° ≤ 2θ ≤ 70°, in order of falling intensity)
2θ/deg	I (rel.)
30.7	100.0
42.3	96.3
40.7	65.9
63.9	32.8
60.2	26.7
47.1	25.4
35.0	23.3
67.9	22.9

Structure:
```
SmBeCu4
1.0
5.1233 0.0000 0.0000
-2.5616 4.4369 0.0000
0.0000 0.0000 3.8622
Sm Be Cu
1 1 4
direct
0.0000 0.0000 0.0000 Sm
0.3333 0.6667 0.0000 Be
0.0102 0.5051 0.5000 Cu
0.4949 0.5051 0.5000 Cu
0.4949 0.9898 0.5000 Cu
0.6667 0.3333 0.0000 Cu
```

***

Record 5
Simulated powder diffraction line list
Compound: Ta6Be15Cu8
Radiation: Cu Kα X-rays
Structure: the PBE geometry in the Materials Project
Neutral-atom scattering factors, no anomalous dispersion.

Peak list (8 most intense, 5° ≤ 2θ ≤ 70°, in order of falling intensity)
2θ/deg	I (rel.)
43.5	100.0
36.2	84.9
28.6	66.9
16.4	56.4
47.6	45.6
40.9	33.9
14.2	17.8
50.6	17.6

Structure:
```
Ta6Be15Cu8
1.0
0.0000 5.4068 5.4068
5.4068 0.0000 5.4068
5.4068 5.4068 0.0000
Ta Be Cu
6 15 8
direct
0.1920 0.1920 0.8080 Ta
0.1920 0.8080 0.1920 Ta
0.1920 0.8080 0.8080 Ta
0.8080 0.1920 0.1920 Ta
0.8080 0.1920 0.8080 Ta
0.8080 0.8080 0.1920 Ta
0.0000 0.0000 0.5000 Be
0.0000 0.5000 0.0000 Be
0.0000 0.5000 0.5000 Be
0.1730 0.1730 0.1730 Be
0.1730 0.1730 0.4811 Be
0.1730 0.4811 0.1730 Be
0.4811 0.1730 0.1730 Be
0.5000 0.0000 0.0000 Be
0.5000 0.0000 0.5000 Be
0.5000 0.5000 0.0000 Be
0.5000 0.5000 0.5000 Be
0.5189 0.8270 0.8270 Be
0.8270 0.5189 0.8270 Be
0.8270 0.8270 0.5189 Be
0.8270 0.8270 0.8270 Be
0.1311 0.6230 0.6230 Cu
0.3770 0.3770 0.3770 Cu
0.3770 0.3770 0.8689 Cu
0.3770 0.8689 0.3770 Cu
0.6230 0.1311 0.6230 Cu
0.6230 0.6230 0.1311 Cu
0.6230 0.6230 0.6230 Cu
0.8689 0.3770 0.3770 Cu
```

***

Record 6
Simulated powder diffraction line list
Compound: TbBeCu4
Radiation: Cu Kα X-rays
Structure: the PBE geometry in the Materials Project
Neutral-atom scattering factors, no anomalous dispersion.

Peak list (8 most intense, 5° ≤ 2θ ≤ 70°, in order of falling intensity)
2θ/deg	I (rel.)
30.8	100.0
42.6	93.7
41.1	63.0
64.1	32.1
60.7	26.7
46.9	24.9
35.4	23.4
68.5	22.0

Structure:
```
TbBeCu4
1.0
5.0715 0.0000 0.0000
-2.5357 4.3920 0.0000
0.0000 0.0000 3.8715
Tb Be Cu
1 1 4
direct
0.0000 0.0000 0.0000 Tb
0.3333 0.6667 0.0000 Be
0.0090 0.5045 0.5000 Cu
0.4955 0.5045 0.5000 Cu
0.4955 0.9910 0.5000 Cu
0.6667 0.3333 0.0000 Cu
```

***

Record 7
Simulated powder diffraction line list
Compound: U2Be25Cu
Radiation: Cu Kα X-rays
Structure: the PBE geometry in the Materials Project
Neutral-atom scattering factors, no anomalous dispersion.

Peak list (8 most intense, 5° ≤ 2θ ≤ 70°, in order of falling intensity)
2θ/deg	I (rel.)
24.6	100.0
43.2	56.7
17.3	53.2
39.3	40.1
68.5	27.5
56.8	24.3
30.2	24.1
35.0	22.3

Structure:
```
U2Be25Cu
1.0
0.0000 5.1271 5.1271
5.1271 0.0000 5.1271
5.1271 5.1271 0.0000
U Be Cu
2 25 1
direct
0.2500 0.2500 0.2500 U
0.7500 0.7500 0.7500 U
0.0000 0.0000 0.0000 Be
0.0626 0.2872 0.7128 Be
0.0626 0.7128 0.9374 Be
0.0626 0.9374 0.2872 Be
0.1972 0.4413 0.8028 Be
0.1972 0.5587 0.4413 Be
0.1972 0.8028 0.5587 Be
0.2872 0.0626 0.9374 Be
0.2872 0.7128 0.0626 Be
0.2872 0.9374 0.7128 Be
0.4413 0.1972 0.5587 Be
0.4413 0.5587 0.8028 Be
0.4413 0.8028 0.1972 Be
0.5587 0.1972 0.8028 Be
0.5587 0.4413 0.1972 Be
0.5587 0.8028 0.4413 Be
0.7128 0.0626 0.2872 Be
0.7128 0.2872 0.9374 Be
0.7128 0.9374 0.0626 Be
0.8028 0.1972 0.4413 Be
0.8028 0.4413 0.5587 Be
0.8028 0.5587 0.1972 Be
0.9374 0.0626 0.7128 Be
0.9374 0.2872 0.0626 Be
0.9374 0.7128 0.2872 Be
0.5000 0.5000 0.5000 Cu
```

***

Record 8
Simulated powder diffraction line list
Compound: YBeCu4
Radiation: Cu Kα X-rays
Structure: the PBE geometry in the Materials Project
Neutral-atom scattering factors, no anomalous dispersion.

Peak list (8 most intense, 5° ≤ 2θ ≤ 70°, in order of falling intensity)
2θ/deg	I (rel.)
42.7	100.0
30.8	85.7
41.2	71.5
64.2	35.4
47.7	34.5
47.0	31.7
68.7	22.8
60.8	19.9

Structure:
```
YBeCu4
1.0
5.0594 0.0000 0.0000
-2.5297 4.3816 0.0000
0.0000 0.0000 3.8698
Y Be Cu
1 1 4
direct
0.0000 0.0000 0.0000 Y
0.3333 0.6667 0.0000 Be
0.0092 0.5046 0.5000 Cu
0.4954 0.5046 0.5000 Cu
0.4954 0.9908 0.5000 Cu
0.6667 0.3333 0.0000 Cu
```

***

Record 9
Simulated powder diffraction line list
Compound: Zr6Be15Cu8
Radiation: Cu Kα X-rays
Structure: the PBE geometry in the Materials Project
Neutral-atom scattering factors, no anomalous dispersion.

Peak list (8 most intense, 5° ≤ 2θ ≤ 70°, in order of falling intensity)
2θ/deg	I (rel.)
45.9	100.0
42.0	87.0
35.0	85.2
27.6	59.7
15.9	31.1
68.7	26.1
39.5	22.8
26.4	21.5

Structure:
```
Zr6Be15Cu8
1.0
0.0000 5.5909 5.5909
5.5909 0.0000 5.5909
5.5909 5.5909 0.0000
Zr Be Cu
6 15 8
direct
0.2029 0.2029 0.7971 Zr
0.2029 0.7971 0.2029 Zr
0.2029 0.7971 0.7971 Zr
0.7971 0.2029 0.2029 Zr
0.7971 0.2029 0.7971 Zr
0.7971 0.7971 0.2029 Zr
0.0000 0.0000 0.5000 Be
0.0000 0.5000 0.0000 Be
0.0000 0.5000 0.5000 Be
0.1765 0.1765 0.1765 Be
0.1765 0.1765 0.4704 Be
0.1765 0.4704 0.1765 Be
0.4704 0.1765 0.1765 Be
0.5000 0.0000 0.0000 Be
0.5000 0.0000 0.5000 Be
0.5000 0.5000 0.0000 Be
0.5000 0.5000 0.5000 Be
0.5296 0.8235 0.8235 Be
0.8235 0.5296 0.8235 Be
0.8235 0.8235 0.5296 Be
0.8235 0.8235 0.8235 Be
0.1294 0.6235 0.6235 Cu
0.3765 0.3765 0.3765 Cu
0.3765 0.3765 0.8706 Cu
0.3765 0.8706 0.3765 Cu
0.6235 0.1294 0.6235 Cu
0.6235 0.6235 0.1294 Cu
0.6235 0.6235 0.6235 Cu
0.8706 0.3765 0.3765 Cu
```

***

Record 10
Simulated powder diffraction line list
Compound: DyBe13
Radiation: Cu Kα X-rays
Structure: the PBE geometry in the Materials Project
Neutral-atom scattering factors, no anomalous dispersion.

Peak list (8 most intense, 5° ≤ 2θ ≤ 70°, in order of falling intensity)
2θ/deg	I (rel.)
24.7	100.0
17.4	90.7
39.6	71.5
43.6	60.4
30.4	44.0
69.1	27.8
57.2	25.3
54.1	22.9

Structure:
```
DyBe13
1.0
0.0000 5.0888 5.0888
5.0888 0.0000 5.0888
5.0888 5.0888 0.0000
Dy Be
2 26
direct
0.2500 0.2500 0.2500 Dy
0.7500 0.7500 0.7500 Dy
0.0000 0.0000 0.0000 Be
0.0627 0.2904 0.7096 Be
0.0627 0.7096 0.9373 Be
0.0627 0.9373 0.2904 Be
0.2096 0.4373 0.7904 Be
0.2096 0.5627 0.4373 Be
0.2096 0.7904 0.5627 Be
0.2904 0.0627 0.9373 Be
0.2904 0.7096 0.0627 Be
0.2904 0.9373 0.7096 Be
0.4373 0.2096 0.5627 Be
0.4373 0.5627 0.7904 Be
0.4373 0.7904 0.2096 Be
0.5000 0.5000 0.5000 Be
0.5627 0.2096 0.7904 Be
0.5627 0.4373 0.2096 Be
0.5627 0.7904 0.4373 Be
0.7096 0.0627 0.2904 Be
0.7096 0.2904 0.9373 Be
0.7096 0.9373 0.0627 Be
0.7904 0.2096 0.4373 Be
0.7904 0.4373 0.5627 Be
0.7904 0.5627 0.2096 Be
0.9373 0.0627 0.7096 Be
0.9373 0.2904 0.0627 Be
0.9373 0.7096 0.2904 Be
```

***

Record 11
Simulated powder diffraction line list
Compound: DyBeNF6
Radiation: Cu Kα X-rays
Structure: the PBE geometry in the Materials Project
Neutral-atom scattering factors, no anomalous dispersion.

Peak list (8 most intense, 5° ≤ 2θ ≤ 70°, in order of falling intensity)
2θ/deg	I (rel.)
19.9	100.0
15.1	59.2
14.6	55.7
27.8	39.4
21.1	35.2
28.6	28.8
40.5	23.7
33.3	19.4

Structure:
```
DyBeNF6
1.0
6.6303 0.0000 0.0000
0.0000 5.8645 0.0000
-3.0293 0.0000 6.8595
Dy Be N F
2 2 2 12
direct
0.1249 0.2500 0.2195 Dy
0.8751 0.7500 0.7805 Dy
0.2822 0.7500 0.5490 Be
0.7178 0.2500 0.4510 Be
0.2826 0.2500 0.8459 N
0.7174 0.7500 0.1541 N
0.1038 0.7500 0.6345 F
0.1474 0.0475 0.9511 F
0.1474 0.4525 0.9511 F
0.2510 0.5363 0.4151 F
0.2510 0.9637 0.4151 F
0.4837 0.2500 0.2820 F
0.5163 0.7500 0.7180 F
0.7490 0.0363 0.5849 F
0.7490 0.4637 0.5849 F
0.8526 0.5475 0.0489 F
0.8526 0.9525 0.0489 F
0.8962 0.2500 0.3655 F
```

***

Record 12
Simulated powder diffraction line list
Compound: ErBe13
Radiation: Cu Kα X-rays
Structure: the PBE geometry in the Materials Project
Neutral-atom scattering factors, no anomalous dispersion.

Peak list (8 most intense, 5° ≤ 2θ ≤ 70°, in order of falling intensity)
2θ/deg	I (rel.)
24.8	100.0
17.5	92.0
39.8	71.1
43.7	60.2
30.5	43.9
69.4	27.7
57.5	25.2
54.3	23.2

Structure:
```
ErBe13
1.0
0.0000 5.0700 5.0700
5.0700 0.0000 5.0700
5.0700 5.0700 0.0000
Er Be
2 26
direct
0.2500 0.2500 0.2500 Er
0.7500 0.7500 0.7500 Er
0.0000 0.0000 0.0000 Be
0.0629 0.2912 0.7088 Be
0.0629 0.7088 0.9371 Be
0.0629 0.9371 0.2912 Be
0.2088 0.4371 0.7912 Be
0.2088 0.5629 0.4371 Be
0.2088 0.7912 0.5629 Be
0.2912 0.0629 0.9371 Be
0.2912 0.7088 0.0629 Be
0.2912 0.9371 0.7088 Be
0.4371 0.2088 0.5629 Be
0.4371 0.5629 0.7912 Be
0.4371 0.7912 0.2088 Be
0.5000 0.5000 0.5000 Be
0.5629 0.2088 0.7912 Be
0.5629 0.4371 0.2088 Be
0.5629 0.7912 0.4371 Be
0.7088 0.0629 0.2912 Be
0.7088 0.2912 0.9371 Be
0.7088 0.9371 0.0629 Be
0.7912 0.2088 0.4371 Be
0.7912 0.4371 0.5629 Be
0.7912 0.5629 0.2088 Be
0.9371 0.0629 0.7088 Be
0.9371 0.2912 0.0629 Be
0.9371 0.7088 0.2912 Be
```

***

> What is the formula in the seventh record?

U2Be25Cu